The following is a calculated powder diffraction line list of Li2Zn6Ir. It was derived from a DFT-relaxed cell (PBE, Alexandria), using a wavelength of 1.5418 Å.

Principal peaks in the range 2θ = 10–90°, sorted by position:
Position (°2θ), I_rel
24.0, 33
26.5, 47
41.6, 100
42.2, 88
60.8, 32
76.8, 31

Structure:
```
data_Li2Zn6Ir
_chemical_formula_sum 'Li2 Zn6 Ir1'
_symmetry_space_group_name_H-M 'P 1'
_symmetry_Int_Tables_number 1
_cell_length_a 4.2804
_cell_length_b 4.2804
_cell_length_c 8.0320
_cell_angle_alpha 90.00
_cell_angle_beta 90.00
_cell_angle_gamma 120.00
loop_
_symmetry_equiv_pos_as_xyz
'x,y,z'
loop_
_atom_site_label
_atom_site_fract_x
_atom_site_fract_y
_atom_site_fract_z
Li1 0.3333 0.6667 0.2942
Li2 0.6667 0.3333 0.7058
Zn1 0.0000 0.0000 0.1746
Zn2 0.0000 0.0000 0.8254
Zn3 0.3333 0.6667 0.6126
Zn4 0.3333 0.6667 0.9497
Zn5 0.6667 0.3333 0.0503
Zn6 0.6667 0.3333 0.3874
Ir1 0.0000 0.0000 0.5000
```

***

The following is a calculated powder diffraction line list of Li4Zn2Ir. It was derived from a DFT-relaxed cell (PBE, Alexandria), using a wavelength of 1.5418 Å.

Principal peaks in the range 2θ = 10–90°, sorted by position:
Position (°2θ), I_rel
20.3, 100
21.6, 59
34.8, 36
37.1, 22
40.6, 34
41.3, 57

Structure:
```
data_Li4Zn2Ir
_chemical_formula_sum 'Li4 Zn2 Ir1'
_symmetry_space_group_name_H-M 'P 1'
_symmetry_Int_Tables_number 1
_cell_length_a 5.5003
_cell_length_b 5.5003
_cell_length_c 5.5003
_cell_angle_alpha 124.13
_cell_angle_beta 124.13
_cell_angle_gamma 82.99
loop_
_symmetry_equiv_pos_as_xyz
'x,y,z'
loop_
_atom_site_label
_atom_site_fract_x
_atom_site_fract_y
_atom_site_fract_z
Li1 0.0000 0.0000 0.5000
Li2 0.0000 0.5000 0.0000
Li3 0.5000 0.0000 0.0000
Li4 0.5000 0.5000 0.5000
Zn1 0.0000 0.5000 0.5000
Zn2 0.5000 0.0000 0.5000
Ir1 0.0000 0.0000 0.0000
```

***

The following is a calculated powder diffraction line list of LiZn2Ir. It was derived from a DFT-relaxed cell (PBE, Alexandria), using a wavelength of 1.5418 Å.

Principal peaks in the range 2θ = 10–90°, sorted by position:
Position (°2θ), I_rel
25.5, 75
42.2, 100
50.0, 37
61.3, 16
67.5, 15
77.2, 33

Structure:
```
data_LiZn2Ir
_chemical_formula_sum 'Li1 Zn2 Ir1'
_symmetry_space_group_name_H-M 'P 1'
_symmetry_Int_Tables_number 1
_cell_length_a 4.2786
_cell_length_b 4.2786
_cell_length_c 4.2786
_cell_angle_alpha 60.00
_cell_angle_beta 60.00
_cell_angle_gamma 60.00
loop_
_symmetry_equiv_pos_as_xyz
'x,y,z'
loop_
_atom_site_label
_atom_site_fract_x
_atom_site_fract_y
_atom_site_fract_z
Li1 0.0000 0.0000 0.0000
Zn1 0.2500 0.2500 0.2500
Zn2 0.7500 0.7500 0.7500
Ir1 0.5000 0.5000 0.5000
```

***

The following is a calculated powder diffraction line list of Li5Zn3Ir. It was derived from a DFT-relaxed cell (PBE, Alexandria), using a wavelength of 1.5418 Å.

Principal peaks in the range 2θ = 10–90°, sorted by position:
Position (°2θ), I_rel
10.7, 27
15.2, 100
22.9, 60
24.3, 70
44.2, 26
44.5, 30

Structure:
```
data_Li5Zn3Ir
_chemical_formula_sum 'Li10 Zn6 Ir2'
_symmetry_space_group_name_H-M 'P 1'
_symmetry_Int_Tables_number 1
_cell_length_a 6.4753
_cell_length_b 6.4753
_cell_length_c 9.1613
_cell_angle_alpha 111.02
_cell_angle_beta 111.02
_cell_angle_gamma 68.98
loop_
_symmetry_equiv_pos_as_xyz
'x,y,z'
loop_
_atom_site_label
_atom_site_fract_x
_atom_site_fract_y
_atom_site_fract_z
Li1 0.0178 0.0178 0.2683
Li2 0.0623 0.4446 0.3666
Li3 0.1804 0.8196 0.0000
Li4 0.2449 0.2449 0.8760
Li5 0.4446 0.0623 0.3666
Li6 0.5554 0.9377 0.6334
Li7 0.7551 0.7551 0.1240
Li8 0.8196 0.1804 0.0000
Li9 0.9377 0.5554 0.6334
Li10 0.9822 0.9822 0.7317
Zn1 0.1303 0.1303 0.5635
Zn2 0.3481 0.3481 0.1808
Zn3 0.5000 0.5000 0.0000
Zn4 0.5000 0.5000 0.5000
Zn5 0.6519 0.6519 0.8192
Zn6 0.8697 0.8697 0.4365
Ir1 0.3868 0.3868 0.6931
Ir2 0.6132 0.6132 0.3069
```